This entry pairs a crystal structure of Mn2SiNi2Ge with its simulated powder XRD pattern. Radiation: Cu Kα X-rays. Structure: DFT lattice parameters and positions (PBE).
Kinematic intensities with the Lorentz-polarization factor, no thermal factor.

Principal peaks in the range 10 to 90 degrees two-theta, sorted by position:
2θ 38.95, I 97; 2θ 39.36, I 54; 2θ 41.50, I 100; 2θ 41.62, I 34; 2θ 46.35, I 46; 2θ 47.87, I 27; 2θ 48.98, I 40; 2θ 50.58, I 52; 2θ 53.28, I 27; 2θ 76.53, I 18

Structural model:
```
data_Mn2SiNi2Ge
_cell_length_a 3.609
_cell_length_b 6.997
_cell_length_c 5.923
_cell_angle_alpha 90.00
_cell_angle_beta 90.00
_cell_angle_gamma 90.00
_symmetry_space_group_name_H-M 'P m c 21'
_symmetry_Int_Tables_number 26
loop_
_symmetry_equiv_pos_as_xyz
'x,y,z'
'-x,-y,z+1/2'
'-x,y,z'
'x,-y,z+1/2'
loop_
_atom_site_label
_atom_site_type_symbol
_atom_site_fract_x
_atom_site_fract_y
_atom_site_fract_z
Mn1 Mn 0.000 0.073 0.000
Mn2 Mn 0.500 0.421 0.937
Si1 Si 0.500 0.122 0.714
Ni1 Ni 0.000 0.301 0.620
Ni2 Ni 0.500 0.182 0.332
Ge1 Ge 0.000 0.378 0.228
```

This entry pairs a crystal structure of NpMn2Ge2 with its simulated powder XRD pattern. Radiation: Cu Kα X-rays. Structure: DFT lattice parameters and positions (PBE).
Kinematic intensities with the Lorentz-polarization factor, no thermal factor.

Principal peaks in the range 10 to 90 degrees two-theta, sorted by position:
2θ 23.91, I 33; 2θ 31.67, I 40; 2θ 34.59, I 100; 2θ 36.33, I 91; 2θ 45.40, I 50; 2θ 50.11, I 36; 2θ 58.30, I 45; 2θ 63.78, I 17; 2θ 69.91, I 27; 2θ 77.87, I 19

Structural model:
```
data_NpMn2Ge2
_cell_length_a 3.996
_cell_length_b 3.996
_cell_length_c 10.225
_cell_angle_alpha 90.00
_cell_angle_beta 90.00
_cell_angle_gamma 90.00
_symmetry_space_group_name_H-M 'I 4/m m m'
_symmetry_Int_Tables_number 139
_symmetry_space_group_name_Hall '-I 4 2'
loop_
_atom_site_label
_atom_site_type_symbol
_atom_site_fract_x
_atom_site_fract_y
_atom_site_fract_z
Np1 Np 0.000 0.000 0.000
Mn1 Mn 0.000 0.500 0.250
Ge1 Ge 0.000 0.000 0.375
```

This entry pairs a crystal structure of MnGeP2 with its simulated powder XRD pattern. Radiation: Cu Kα X-rays. Structure: DFT lattice parameters and positions (PBE).
Kinematic intensities with the Lorentz-polarization factor, no thermal factor.

Principal peaks in the range 10 to 90 degrees two-theta, sorted by position:
2θ 28.46, I 100; 2θ 32.85, I 8; 2θ 47.14, I 20; 2θ 47.43, I 40; 2θ 55.99, I 27; 2θ 56.51, I 13; 2θ 68.88, I 6; 2θ 76.58, I 10; 2θ 87.89, I 13; 2θ 88.53, I 6

Structural model:
```
data_MnGeP2
_cell_length_a 5.453
_cell_length_b 5.453
_cell_length_c 10.780
_cell_angle_alpha 90.00
_cell_angle_beta 90.00
_cell_angle_gamma 90.00
_symmetry_space_group_name_H-M 'I -4 2 d'
_symmetry_Int_Tables_number 122
_symmetry_space_group_name_Hall 'I -4 2bw'
loop_
_atom_site_label
_atom_site_type_symbol
_atom_site_fract_x
_atom_site_fract_y
_atom_site_fract_z
Mn1 Mn 0.000 0.000 0.000
Ge1 Ge 0.000 0.000 0.500
P1 P 0.235 0.750 0.125
```

This entry pairs a crystal structure of MnGe2Pd3 with its simulated powder XRD pattern. Radiation: Cu Kα X-rays. Structure: DFT lattice parameters and positions (PBE).
Kinematic intensities with the Lorentz-polarization factor, no thermal factor.

Principal peaks in the range 10 to 90 degrees two-theta, sorted by position:
2θ 37.81, I 100; 2θ 38.24, I 24; 2θ 39.12, I 29; 2θ 39.23, I 19; 2θ 41.71, I 50; 2θ 43.62, I 32; 2θ 44.77, I 28; 2θ 47.34, I 18; 2θ 57.68, I 24; 2θ 75.02, I 14

Structural model:
```
data_MnGe2Pd3
_cell_length_a 6.957
_cell_length_b 3.196
_cell_length_c 16.601
_cell_angle_alpha 90.00
_cell_angle_beta 90.00
_cell_angle_gamma 90.00
_symmetry_space_group_name_H-M 'P n m a'
_symmetry_Int_Tables_number 62
loop_
_symmetry_equiv_pos_as_xyz
'x,y,z'
'-x,-y,-z'
'-x+1/2,-y,z+1/2'
'x+1/2,y,-z+1/2'
'x+1/2,-y+1/2,-z+1/2'
'-x+1/2,y+1/2,z+1/2'
'-x,y+1/2,-z'
'x,-y+1/2,z'
loop_
_atom_site_label
_atom_site_type_symbol
_atom_site_fract_x
_atom_site_fract_y
_atom_site_fract_z
Mn1 Mn 0.015 0.250 0.211
Ge1 Ge 0.202 0.750 0.315
Ge2 Ge 0.245 0.250 0.049
Pd1 Pd 0.034 0.250 0.924
Pd2 Pd 0.102 0.250 0.435
Pd3 Pd 0.170 0.250 0.669
```

This entry pairs a crystal structure of PrMnGe with its simulated powder XRD pattern. Radiation: Cu Kα X-rays. Structure: DFT lattice parameters and positions (PBE).
Kinematic intensities with the Lorentz-polarization factor, no thermal factor.

Principal peaks in the range 10 to 90 degrees two-theta, sorted by position:
2θ 29.49, I 68; 2θ 32.08, I 46; 2θ 32.58, I 100; 2θ 38.93, I 97; 2θ 42.19, I 73; 2θ 54.30, I 47; 2θ 55.60, I 33; 2θ 61.19, I 24; 2θ 72.19, I 30; 2θ 74.95, I 27

Structural model:
```
data_PrMnGe
_cell_length_a 4.284
_cell_length_b 4.284
_cell_length_c 7.166
_cell_angle_alpha 90.00
_cell_angle_beta 90.00
_cell_angle_gamma 90.00
_symmetry_space_group_name_H-M 'P 4/n m m'
_symmetry_Int_Tables_number 129
loop_
_symmetry_equiv_pos_as_xyz
'x,y,z'
'-x,-y,-z'
'-y+1/2,x,z'
'y+1/2,-x,-z'
'-x+1/2,-y+1/2,z'
'x+1/2,y+1/2,-z'
'y,-x+1/2,z'
'-y,x+1/2,-z'
'x+1/2,-y,-z'
'-x+1/2,y,z'
'-y,-x,-z'
'y,x,z'
'-x,y+1/2,-z'
'x,-y+1/2,z'
'y+1/2,x+1/2,-z'
'-y+1/2,-x+1/2,z'
loop_
_atom_site_label
_atom_site_type_symbol
_atom_site_fract_x
_atom_site_fract_y
_atom_site_fract_z
Pr1 Pr 0.250 0.250 0.171
Mn1 Mn 0.250 0.750 0.500
Ge1 Ge 0.250 0.250 0.708
```

This entry pairs a crystal structure of PrMn2Ge2 with its simulated powder XRD pattern. Radiation: Cu Kα X-rays. Structure: DFT lattice parameters and positions (PBE).
Kinematic intensities with the Lorentz-polarization factor, no thermal factor.

Principal peaks in the range 10 to 90 degrees two-theta, sorted by position:
2θ 31.37, I 30; 2θ 32.90, I 100; 2θ 35.41, I 87; 2θ 44.96, I 55; 2θ 46.80, I 38; 2θ 56.82, I 41; 2θ 59.68, I 18; 2θ 65.46, I 17; 2θ 66.91, I 26; 2θ 76.68, I 17

Structural model:
```
data_PrMn2Ge2
_cell_length_a 4.033
_cell_length_b 4.033
_cell_length_c 11.073
_cell_angle_alpha 90.00
_cell_angle_beta 90.00
_cell_angle_gamma 90.00
_symmetry_space_group_name_H-M 'I 4/m m m'
_symmetry_Int_Tables_number 139
_symmetry_space_group_name_Hall '-I 4 2'
loop_
_atom_site_label
_atom_site_type_symbol
_atom_site_fract_x
_atom_site_fract_y
_atom_site_fract_z
Pr1 Pr 0.000 0.000 0.000
Mn1 Mn 0.000 0.500 0.250
Ge1 Ge 0.000 0.000 0.375
```

This entry pairs a crystal structure of MnGeRh with its simulated powder XRD pattern. Radiation: Cu Kα X-rays. Structure: DFT lattice parameters and positions (PBE).
Kinematic intensities with the Lorentz-polarization factor, no thermal factor.

Principal peaks in the range 10 to 90 degrees two-theta, sorted by position:
2θ 24.96, I 28; 2θ 37.06, I 43; 2θ 37.23, I 100; 2θ 40.45, I 93; 2θ 40.66, I 37; 2θ 41.74, I 38; 2θ 41.98, I 28; 2θ 42.14, I 30; 2θ 47.75, I 45; 2θ 51.21, I 37

Structural model:
```
data_MnGeRh
_cell_length_a 7.135
_cell_length_b 11.335
_cell_length_c 6.617
_cell_angle_alpha 90.00
_cell_angle_beta 90.00
_cell_angle_gamma 90.00
_symmetry_space_group_name_H-M 'I m a 2'
_symmetry_Int_Tables_number 46
loop_
_symmetry_equiv_pos_as_xyz
'x,y,z'
'-x,-y,z'
'-x+1/2,y,z'
'x+1/2,-y,z'
'x+1/2,y+1/2,z+1/2'
'-x+1/2,-y+1/2,z+1/2'
'-x,y+1/2,z+1/2'
'x,-y+1/2,z+1/2'
loop_
_atom_site_label
_atom_site_type_symbol
_atom_site_fract_x
_atom_site_fract_y
_atom_site_fract_z
Mn1 Mn 0.250 0.009 0.000
Mn2 Mn 0.250 0.217 0.630
Mn3 Mn 0.250 0.693 0.110
Ge1 Ge 0.007 0.667 0.409
Ge2 Ge 0.250 0.028 0.405
Rh1 Rh 0.000 0.000 0.666
Rh2 Rh 0.034 0.629 0.777
```

This entry pairs a crystal structure of MnGeRh2 with its simulated powder XRD pattern. Radiation: Cu Kα X-rays. Structure: DFT lattice parameters and positions (PBE).
Kinematic intensities with the Lorentz-polarization factor, no thermal factor.

Principal peaks in the range 10 to 90 degrees two-theta, sorted by position:
2θ 25.32, I 1; 2θ 29.32, I 7; 2θ 41.94, I 100; 2θ 51.99, I 2; 2θ 60.81, I 16; 2θ 68.92, I 3; 2θ 76.61, I 32

Structural model:
```
data_MnGeRh2
_cell_length_a 6.093
_cell_length_b 6.093
_cell_length_c 6.093
_cell_angle_alpha 90.00
_cell_angle_beta 90.00
_cell_angle_gamma 90.00
_symmetry_space_group_name_H-M 'F m -3 m'
_symmetry_Int_Tables_number 225
_symmetry_space_group_name_Hall '-F 4 2 3'
loop_
_atom_site_label
_atom_site_type_symbol
_atom_site_fract_x
_atom_site_fract_y
_atom_site_fract_z
Mn1 Mn 0.000 0.000 0.000
Ge1 Ge 0.000 0.000 0.500
Rh1 Rh 0.250 0.250 0.250
```

This entry pairs a crystal structure of MnGeRh with its simulated powder XRD pattern. Radiation: Cu Kα X-rays. Structure: DFT lattice parameters and positions (PBE).
Kinematic intensities with the Lorentz-polarization factor, no thermal factor.

Principal peaks in the range 10 to 90 degrees two-theta, sorted by position:
2θ 24.57, I 22; 2θ 36.93, I 100; 2θ 40.30, I 89; 2θ 41.99, I 54; 2θ 47.95, I 40; 2θ 49.26, I 53; 2θ 50.38, I 30; 2θ 67.61, I 25; 2θ 72.09, I 23; 2θ 77.74, I 33

Structural model:
```
data_MnGeRh
_cell_length_a 6.5728
_cell_length_b 6.5728
_cell_length_c 3.6225
_cell_angle_alpha 90.00
_cell_angle_beta 90.00
_cell_angle_gamma 120.00
_symmetry_space_group_name_H-M 'P -6 2 m'
_symmetry_Int_Tables_number 189
_symmetry_space_group_name_Hall 'P -6 -2'
loop_
_atom_site_label
_atom_site_type_symbol
_atom_site_fract_x
_atom_site_fract_y
_atom_site_fract_z
Mn1 Mn 0.0000 0.5912 0.0000
Ge1 Ge 0.0000 0.0000 0.0000
Ge2 Ge 0.3333 0.6667 0.5000
Rh1 Rh 0.0000 0.2583 0.5000
```

This entry pairs a crystal structure of Tm6MnGe2S14 with its simulated powder XRD pattern. Radiation: Cu Kα X-rays. Structure: DFT lattice parameters and positions (PBE).
Kinematic intensities with the Lorentz-polarization factor, no thermal factor.

Principal peaks in the range 10 to 90 degrees two-theta, sorted by position:
2θ 18.70, I 19; 2θ 21.06, I 27; 2θ 23.96, I 28; 2θ 26.22, I 100; 2θ 36.91, I 35; 2θ 37.92, I 31; 2θ 38.48, I 27; 2θ 41.69, I 29; 2θ 42.37, I 22; 2θ 52.19, I 19

Structural model:
```
data_Tm6MnGe2S14
_cell_length_a 9.7401
_cell_length_b 9.7401
_cell_length_c 5.7405
_cell_angle_alpha 90.00
_cell_angle_beta 90.00
_cell_angle_gamma 120.00
_symmetry_space_group_name_H-M 'P 3'
_symmetry_Int_Tables_number 143
loop_
_symmetry_equiv_pos_as_xyz
'x,y,z'
'-y,x-y,z'
'-x+y,-x,z'
loop_
_atom_site_label
_atom_site_type_symbol
_atom_site_fract_x
_atom_site_fract_y
_atom_site_fract_z
Tm1 Tm 0.0231 0.5588 0.0000
Tm2 Tm 0.3094 0.1069 0.5067
Mn1 Mn 0.6667 0.3333 0.2867
Ge1 Ge 0.0000 0.0000 0.9287
Ge2 Ge 0.3333 0.6667 0.4207
S1 S 0.0000 0.0000 0.3096
S2 S 0.0858 0.8489 0.7607
S3 S 0.1827 0.4296 0.2549
S4 S 0.3333 0.6667 0.8027
S5 S 0.4161 0.1795 0.0575
S6 S 0.5105 0.4273 0.5385
```

Copy entry 2 word for word.
This entry pairs a crystal structure of NpMn2Ge2 with its simulated powder XRD pattern. Radiation: Cu Kα X-rays. Structure: DFT lattice parameters and positions (PBE).
Kinematic intensities with the Lorentz-polarization factor, no thermal factor.

Principal peaks in the range 10 to 90 degrees two-theta, sorted by position:
2θ 23.91, I 33; 2θ 31.67, I 40; 2θ 34.59, I 100; 2θ 36.33, I 91; 2θ 45.40, I 50; 2θ 50.11, I 36; 2θ 58.30, I 45; 2θ 63.78, I 17; 2θ 69.91, I 27; 2θ 77.87, I 19

Structural model:
```
data_NpMn2Ge2
_cell_length_a 3.996
_cell_length_b 3.996
_cell_length_c 10.225
_cell_angle_alpha 90.00
_cell_angle_beta 90.00
_cell_angle_gamma 90.00
_symmetry_space_group_name_H-M 'I 4/m m m'
_symmetry_Int_Tables_number 139
_symmetry_space_group_name_Hall '-I 4 2'
loop_
_atom_site_label
_atom_site_type_symbol
_atom_site_fract_x
_atom_site_fract_y
_atom_site_fract_z
Np1 Np 0.000 0.000 0.000
Mn1 Mn 0.000 0.500 0.250
Ge1 Ge 0.000 0.000 0.375
```